Simulated X-ray diffraction stick pattern of ZnCr4O9 for copper Kα, from a structure optimized by DFT (GGA+U).
Intensities are scaled so that the largest is 100.

Most intense lines, 15 to 90 degrees two-theta, in order of rising 2θ:
| 2θ/deg | d_spacing | intensity | index |
| --- | --- | --- | --- |
| 18.04 | 4.918 | 45 | 0 0 1 |
| 23.44 | 3.795 | 93 | 1 1 1 |
| 27.86 | 3.202 | 50 | 2 0 1 |
| 29.85 | 2.994 | 100 | 1 2 1 |
| 33.59 | 2.668 | 78 | 3 1 0 |
| 35.19 | 2.550 | 20 | 2 2 1 |
| 36.54 | 2.459 | 28 | 0 0 2 |
| 43.95 | 2.060 | 38 | 1 2 2 |
| 48.23 | 1.887 | 67 | 2 4 0 |
| 51.91 | 1.761 | 25 | 2 4 1 |
| 61.69 | 1.504 | 22 | 1 2 3 |
| 67.30 | 1.391 | 22 | 5 0 2 |

Structure:
a b c (Å): 8.4371 8.4371 4.9179
angles (deg): 90.00 90.00 90.00
Space group P4/n (No. 85, origin choice 2)
Inequivalent atoms, fractional coordinates:
Zn (0.2500, 0.2500, 0.0149) (multiplicity 2)
Cr (0.0356, 0.8403, 0.3874) (multiplicity 8)
O (0.0236, 0.1804, 0.9432) (multiplicity 8)
O (0.0363, 0.3565, 0.4667) (multiplicity 8)
O (0.2500, 0.7500, 0.5000) (multiplicity 2)